Diffraction record for LiNiCSO7. The powder diffraction line list is calculated, not measured: it uses the GGA+U geometry in Alexandria and Cu Kα, 1.54184 Å.
No peak broadening, texture or thermal motion is included.

Structure:
```
data_LiNiCSO7
_symmetry_space_group_name_H-M 'P 1 21 1'
_symmetry_Int_Tables_number 4
_symmetry_space_group_name_Hall 'P 2yb'
_cell_length_a 5.0375
_cell_length_b 6.4649
_cell_length_c 8.5318
_cell_angle_alpha 90.00
_cell_angle_beta 93.81
_cell_angle_gamma 90.00
loop_
_atom_site_label
_atom_site_type_symbol
_atom_site_fract_x
_atom_site_fract_y
_atom_site_fract_z
Li1 Li 0.2217 0.0000 0.2719
Ni1 Ni 0.2130 0.2591 0.8483
C1 C 0.2726 0.2622 0.5649
S1 S 0.2727 0.7646 0.9175
O1 O 0.0411 0.2720 0.6230
O2 O 0.1573 0.7792 0.0743
O3 O 0.1662 0.5804 0.8302
O4 O 0.2081 0.9467 0.8197
O5 O 0.3033 0.2281 0.4229
O6 O 0.4314 0.2400 0.0527
O7 O 0.4693 0.2839 0.6704
```

Top 6 peaks for 2θ = 10–90°, in order of falling intensity:
2θ = 10.39°, intensity 100
2θ = 27.60°, intensity 61
2θ = 21.12°, intensity 38
2θ = 17.22°, intensity 36
2θ = 26.53°, intensity 32
2θ = 19.91°, intensity 32